(1)
The following is a simulated powder diffraction line list of TmTe. It was derived from DFT lattice parameters and positions (GGA-PBE), using Cu Kα (λ = 1.5418 Å).
No peak broadening, texture or thermal motion is included.

Cell and atoms:
Cell lengths 3.7472, 3.7472, 3.7472 Å; angles 90.00, 90.00, 90.00 degrees
Fractional coordinates of all 2 atoms:
Tm1 0.0000 0.0000 0.0000
Te1 0.5000 0.5000 0.5000

Largest 8 diffraction maxima, sorted by position, 10 to 80 degrees two-theta:
2θ (°)	intensity
23.7	3
33.8	100
41.8	1
48.6	18
54.8	1
60.5	37
71.2	12
76.2	1

(2)
The following is a simulated powder diffraction line list of TmTe3. It was derived from DFT lattice parameters and positions (GGA-PBE), using Cu Kα (λ = 1.5418 Å).
No peak broadening, texture or thermal motion is included.

Cell and atoms:
Cell lengths 3.9490, 27.9968, 4.6416 Å; angles 90.00, 90.00, 90.00 degrees
Fractional coordinates of all 16 atoms:
Tm1 0.0000 0.0496 0.2500
Tm2 0.0000 0.9504 0.7500
Tm3 0.5000 0.4504 0.7500
Tm4 0.5000 0.5496 0.2500
Te1 0.0000 0.1624 0.2500
Te2 0.0000 0.3146 0.2500
Te3 0.0000 0.4490 0.2500
Te4 0.0000 0.5510 0.7500
Te5 0.0000 0.6854 0.7500
Te6 0.0000 0.8376 0.7500
Te7 0.5000 0.0510 0.7500
Te8 0.5000 0.1854 0.7500
Te9 0.5000 0.3376 0.7500
Te10 0.5000 0.6624 0.2500
Te11 0.5000 0.8146 0.2500
Te12 0.5000 0.9490 0.2500

Largest 10 diffraction maxima, sorted by position, 10 to 80 degrees two-theta:
2θ (°)	intensity
25.5	55
29.9	88
31.2	34
32.0	25
37.4	100
38.8	33
46.0	20
47.0	21
58.2	18
67.8	17

(3)
The following is a simulated powder diffraction line list of TmTe2. It was derived from DFT lattice parameters and positions (GGA-PBE), using Cu Kα (λ = 1.5418 Å).
No peak broadening, texture or thermal motion is included.

Cell and atoms:
Cell lengths 4.4259, 4.4259, 8.7835 Å; angles 90.00, 90.00, 90.00 degrees
Fractional coordinates of all 6 atoms:
Tm1 0.2500 0.2500 0.2292
Tm2 0.7500 0.7500 0.7708
Te1 0.2500 0.2500 0.8721
Te2 0.2500 0.7500 0.5000
Te3 0.7500 0.2500 0.5000
Te4 0.7500 0.7500 0.1279

Largest 10 diffraction maxima, sorted by position, 10 to 80 degrees two-theta:
2θ (°)	intensity
28.5	29
30.3	95
30.5	34
35.2	100
36.8	59
40.8	68
51.8	31
56.1	35
59.0	23
70.6	26

(4)
The following is a simulated powder diffraction line list of Tm2Te5. It was derived from DFT lattice parameters and positions (GGA-PBE), using Cu Kα (λ = 1.5418 Å).
No peak broadening, texture or thermal motion is included.

Cell and atoms:
Cell lengths 21.5845, 21.5845, 4.3830 Å; angles 90.00, 90.00, 168.39 degrees
Fractional coordinates of all 14 atoms:
Tm1 0.0976 0.9024 0.7500
Tm2 0.3069 0.6931 0.7500
Tm3 0.6931 0.3069 0.2500
Tm4 0.9024 0.0976 0.2500
Te1 0.0418 0.9582 0.2500
Te2 0.1724 0.8276 0.7500
Te3 0.2500 0.7500 0.2500
Te4 0.3799 0.6201 0.7500
Te5 0.4578 0.5422 0.2500
Te6 0.5422 0.4578 0.7500
Te7 0.6201 0.3799 0.2500
Te8 0.7500 0.2500 0.7500
Te9 0.8276 0.1724 0.2500
Te10 0.9582 0.0418 0.7500

Largest 10 diffraction maxima, sorted by position, 10 to 80 degrees two-theta:
2θ (°)	intensity
28.9	24
29.1	45
30.7	100
34.6	70
35.7	21
37.6	18
41.2	32
41.3	31
51.4	18
59.8	21

(5)
The following is a simulated powder diffraction line list of TmTe. It was derived from DFT lattice parameters and positions (GGA-PBE), using Cu Kα (λ = 1.5418 Å).
No peak broadening, texture or thermal motion is included.

Cell and atoms:
Cell lengths 4.1042, 4.1042, 7.7971 Å; angles 90.00, 90.00, 120.00 degrees
Fractional coordinates of all 4 atoms:
Tm1 0.3333 0.6667 0.2500
Tm2 0.6667 0.3333 0.7500
Te1 0.0000 0.0000 0.0000
Te2 0.0000 0.0000 0.5000

Largest 10 diffraction maxima, sorted by position, 10 to 80 degrees two-theta:
2θ (°)	intensity
27.6	85
34.1	100
43.1	26
44.1	48
46.6	14
52.8	14
56.9	23
66.1	29
71.2	12
74.7	20

(6)
The following is a simulated powder diffraction line list of Tm2Te3. It was derived from DFT lattice parameters and positions (GGA-PBE), using Cu Kα (λ = 1.5418 Å).
No peak broadening, texture or thermal motion is included.

Cell and atoms:
Cell lengths 14.3860, 13.7316, 7.4624 Å; angles 79.52, 69.81, 30.67 degrees
Fractional coordinates of all 20 atoms:
Tm1 0.0424 0.0424 0.2076
Tm2 0.1251 0.1251 0.6249
Tm3 0.2076 0.2076 0.0424
Tm4 0.3751 0.3751 0.8749
Tm5 0.6249 0.6249 0.1251
Tm6 0.7924 0.7924 0.9576
Tm7 0.8749 0.8749 0.3751
Tm8 0.9576 0.9576 0.7924
Te1 0.0433 0.5410 0.2074
Te2 0.1273 0.6227 0.6227
Te3 0.2074 0.7083 0.0433
Te4 0.2917 0.7926 0.4590
Te5 0.3773 0.8727 0.8727
Te6 0.4590 0.9567 0.2917
Te7 0.5410 0.0433 0.7083
Te8 0.6227 0.1273 0.1273
Te9 0.7083 0.2074 0.5410
Te10 0.7926 0.2917 0.9567
Te11 0.8727 0.3773 0.3773
Te12 0.9567 0.4590 0.7926

Largest 10 diffraction maxima, sorted by position, 10 to 80 degrees two-theta:
2θ (°)	intensity
13.0	27
29.2	100
29.3	49
41.6	19
41.8	94
51.7	21
51.9	21
68.6	18
68.9	17
76.4	19

(7)
The following is a simulated powder diffraction line list of TmTe3. It was derived from DFT lattice parameters and positions (GGA-PBE), using Cu Kα (λ = 1.5418 Å).
No peak broadening, texture or thermal motion is included.

Cell and atoms:
Cell lengths 4.3354, 25.8233, 4.3413 Å; angles 90.00, 90.00, 90.00 degrees
Fractional coordinates of all 16 atoms:
Tm1 0.0000 0.1703 0.2500
Tm2 0.0000 0.8297 0.7500
Tm3 0.5000 0.3297 0.7500
Tm4 0.5000 0.6703 0.2500
Te1 0.0000 0.0754 0.7500
Te2 0.0000 0.2932 0.2500
Te3 0.0000 0.4246 0.7500
Te4 0.0000 0.5754 0.2500
Te5 0.0000 0.7068 0.7500
Te6 0.0000 0.9246 0.2500
Te7 0.5000 0.0754 0.2500
Te8 0.5000 0.2068 0.7500
Te9 0.5000 0.4246 0.2500
Te10 0.5000 0.5754 0.7500
Te11 0.5000 0.7932 0.2500
Te12 0.5000 0.9246 0.7500

Largest 10 diffraction maxima, sorted by position, 10 to 80 degrees two-theta:
2θ (°)	intensity
27.6	41
29.3	23
30.9	100
34.0	53
34.6	17
38.2	28
41.6	55
50.7	30
60.3	18
69.4	19

(8)
The following is a simulated powder diffraction line list of TmTe. It was derived from DFT lattice parameters and positions (GGA-PBE), using Cu Kα (λ = 1.5418 Å).
No peak broadening, texture or thermal motion is included.

Cell and atoms:
Cell lengths 6.0786, 6.0786, 6.0786 Å; angles 90.00, 90.00, 90.00 degrees
Fractional coordinates of all 8 atoms:
Tm1 0.0000 0.0000 0.0000
Tm2 0.0000 0.5000 0.5000
Tm3 0.5000 0.0000 0.5000
Tm4 0.5000 0.5000 0.0000
Te1 0.0000 0.0000 0.5000
Te2 0.0000 0.5000 0.0000
Te3 0.5000 0.0000 0.0000
Te4 0.5000 0.5000 0.5000

Largest 9 diffraction maxima, sorted by position, 10 to 80 degrees two-theta:
2θ (°)	intensity
25.4	4
29.4	100
42.0	76
49.7	2
52.1	27
61.0	13
67.1	1
69.1	35
76.8	26

(9)
The following is a simulated powder diffraction line list of TmUTe6. It was derived from DFT lattice parameters and positions (GGA-PBE), using Cu Kα (λ = 1.5418 Å).
No peak broadening, texture or thermal motion is included.

Cell and atoms:
Cell lengths 4.3675, 4.3585, 25.8194 Å; angles 90.00, 90.00, 90.00 degrees
Fractional coordinates of all 16 atoms:
Tm1 0.0000 0.0000 0.0000
Tm2 0.0000 0.5000 0.5000
U1 0.5000 0.0000 0.3377
U2 0.5000 0.5000 0.8377
Te1 0.0000 0.0000 0.2447
Te2 0.0000 0.0000 0.5929
Te3 0.0000 0.0000 0.8745
Te4 0.0000 0.5000 0.0929
Te5 0.0000 0.5000 0.3745
Te6 0.0000 0.5000 0.7447
Te7 0.5000 0.0000 0.0935
Te8 0.5000 0.0000 0.4625
Te9 0.5000 0.0000 0.7449
Te10 0.5000 0.5000 0.2449
Te11 0.5000 0.5000 0.5935
Te12 0.5000 0.5000 0.9625

Largest 10 diffraction maxima, sorted by position, 10 to 80 degrees two-theta:
2θ (°)	intensity
27.6	43
29.1	38
30.8	100
33.8	66
34.6	21
38.0	36
41.4	63
50.5	34
60.0	21
68.9	24

(10)
The following is a simulated powder diffraction line list of TmUTe4. It was derived from DFT lattice parameters and positions (GGA-PBE), using Cu Kα (λ = 1.5418 Å).
No peak broadening, texture or thermal motion is included.

Cell and atoms:
Cell lengths 4.1899, 6.0970, 14.0996 Å; angles 90.00, 90.00, 90.00 degrees
Fractional coordinates of all 12 atoms:
Tm1 0.0000 0.0000 0.0000
Tm2 0.5000 0.5000 0.5000
U1 0.0000 0.0000 0.2754
U2 0.5000 0.5000 0.7754
Te1 0.0000 0.2522 0.6399
Te2 0.0000 0.5000 0.3437
Te3 0.0000 0.5000 0.9345
Te4 0.0000 0.7478 0.6399
Te5 0.5000 0.0000 0.4345
Te6 0.5000 0.0000 0.8437
Te7 0.5000 0.2478 0.1399
Te8 0.5000 0.7522 0.1399

Largest 10 diffraction maxima, sorted by position, 10 to 80 degrees two-theta:
2θ (°)	intensity
15.8	25
28.5	100
32.0	34
36.4	41
37.0	56
39.1	20
43.2	22
47.5	16
56.7	19
68.5	17

(11)
The following is a simulated powder diffraction line list of YTmTe2. It was derived from DFT lattice parameters and positions (GGA-PBE), using Cu Kα (λ = 1.5418 Å).
No peak broadening, texture or thermal motion is included.

Cell and atoms:
Cell lengths 4.3282, 4.3282, 6.1489 Å; angles 90.00, 90.00, 90.00 degrees
Fractional coordinates of all 4 atoms:
Y1 0.0000 0.0000 0.0000
Tm1 0.5000 0.5000 0.5000
Te1 0.0000 0.0000 0.5000
Te2 0.5000 0.5000 0.0000

Largest 10 diffraction maxima, sorted by position, 10 to 80 degrees two-theta:
2θ (°)	intensity
29.0	45
29.2	88
41.7	100
51.7	36
60.2	6
60.5	11
68.3	15
68.5	30
75.9	11
76.1	22

(12)
The following is a simulated powder diffraction line list of U2Te3. It was derived from DFT lattice parameters and positions (GGA-PBE), using Cu Kα (λ = 1.5418 Å).
No peak broadening, texture or thermal motion is included.

Cell and atoms:
Cell lengths 11.7093, 4.2970, 12.0587 Å; angles 90.00, 90.04, 90.00 degrees
Fractional coordinates of all 20 atoms:
U1 0.0000 0.0000 0.0000
U2 0.0018 0.5000 0.3945
U3 0.1896 0.5000 0.7129
U4 0.3144 0.5000 0.2128
U5 0.5023 0.5000 0.8944
U6 0.5041 0.0000 0.5000
U7 0.6891 0.0000 0.1806
U8 0.8149 0.0000 0.6809
Te1 0.0599 0.0000 0.5761
Te2 0.1264 0.0000 0.2442
Te3 0.2045 0.5000 0.9717
Te4 0.2996 0.5000 0.4715
Te5 0.3778 0.0000 0.7442
Te6 0.4438 0.0000 0.0760
Te7 0.5604 0.5000 0.3181
Te8 0.6264 0.5000 0.6509
Te9 0.7042 0.0000 0.9222
Te10 0.7999 0.0000 0.4228
Te11 0.8781 0.5000 0.1508
Te12 0.9432 0.5000 0.8178

Largest 10 diffraction maxima, sorted by position, 10 to 80 degrees two-theta:
2θ (°)	intensity
21.2	69
26.8	64
29.7	61
31.0	67
31.4	100
31.9	97
34.2	82
37.2	57
39.6	60
42.1	77